Diffraction record for La6TmAl. The X-ray powder pattern is computed, not measured: it uses a crystal structure in Alexandria, relaxed with PBE and Cu Ka.

Peak list (6 most intense, 5° ≤ 2θ ≤ 70°, in order of falling intensity)
hkl, 2θ/deg, intensity
1 1 2, 30.39, 100.0
3 1 -2, 30.58, 97.0
4 0 0, 34.86, 34.2
4 2 0, 50.78, 34.1
0 2 0, 35.71, 33.1
2 0 -4, 35.47, 31.4

Cell and atoms:
a b c (Å): 11.4298 5.0292 10.1232
angles (deg): 90.00 115.76 90.00
Sites, in units of the cell vectors:
La 0.0079 0.0000 0.2450
La 0.2420 0.5000 0.8839
La 0.2427 0.5000 0.3588
La 0.2573 0.0000 0.6412
La 0.2580 0.0000 0.1161
La 0.4921 0.5000 0.7550
La 0.5079 0.5000 0.2450
La 0.7420 0.0000 0.8839
La 0.7427 0.0000 0.3588
La 0.7573 0.5000 0.6412
La 0.7580 0.5000 0.1161
La 0.9921 0.0000 0.7550
Tm 0.0000 0.5000 0.5000
Tm 0.5000 0.0000 0.5000
Al 0.0000 0.5000 0.0000
Al 0.5000 0.0000 0.0000